# DyTl2Mo3O12
Theoretical XRD peak list, CuKα. Input: the GGA+U geometry in Alexandria.
No peak broadening, texture or thermal motion is included.

```
DyTl2Mo3O12
1.0
3.7490 2.1645 6.3131
-3.7490 2.1645 6.3131
0.0000 -4.3289 6.3131
Dy Tl Mo O
1 2 3 12
Direct
0.0000 0.0000 0.0000
0.3341 0.3341 0.3341
0.6659 0.6659 0.6659
0.0000 0.0000 0.5000
0.0000 0.5000 0.0000
0.5000 0.0000 0.0000
0.0623 0.7027 0.7027
0.0780 0.0780 0.6425
0.0780 0.6425 0.0780
0.2973 0.2973 0.9377
0.2973 0.9377 0.2973
0.3575 0.9220 0.9220
0.6425 0.0780 0.0780
0.7027 0.0623 0.7027
0.7027 0.7027 0.0623
0.9220 0.3575 0.9220
0.9220 0.9220 0.3575
0.9377 0.2973 0.2973
```

Peak list (10 most intense, 5 to 70 degrees two-theta, by angle)
two_theta, Rel. int.
23.7, 29
27.7, 100
27.9, 16
28.3, 27
37.2, 24
44.2, 32
48.6, 22
49.7, 22
57.2, 20
67.8, 16